Entry 1:
For Gd3FeO6, a cell relaxed with GGA+U gives the theoretical X-ray powder pattern in this record (a wavelength of 1.5418 Å).

Structural model:
```
Gd3FeO6
1.0
4.526 -5.683 0.000
4.526 5.683 0.000
0.000 0.000 5.553
Gd Fe O
6 2 12
direct
0.103 0.897 0.500
0.201 0.412 0.456
0.412 0.201 0.956
0.588 0.799 0.456
0.799 0.588 0.956
0.897 0.103 0.000
0.308 0.692 0.926
0.692 0.308 0.426
0.079 0.606 0.747
0.145 0.175 0.727
0.175 0.145 0.227
0.285 0.715 0.265
0.394 0.921 0.747
0.460 0.540 0.779
0.540 0.460 0.279
0.606 0.079 0.247
0.715 0.285 0.765
0.825 0.855 0.727
0.855 0.825 0.227
0.921 0.394 0.247
```

Largest 6 diffraction maxima, in order of rising 2θ, 2θ = 15–90°:
| 2theta | Rel. int. |
| --- | --- |
| 29.93 | 100 |
| 30.22 | 39 |
| 32.24 | 20 |
| 45.09 | 24 |
| 50.25 | 22 |
| 58.96 | 20 |

=====

Entry 2:
For Gd2FeSbO7, a cell relaxed with GGA+U gives the theoretical X-ray powder pattern in this record (a wavelength of 1.5418 Å).

Structural model:
```
Gd2FeSbO7
1.0
-3.643 3.683 5.176
3.643 -3.683 5.176
3.643 3.683 -5.176
Gd Fe Sb O
4 2 2 14
direct
0.000 0.000 0.000
0.500 0.000 0.000
0.500 0.000 0.500
0.500 0.500 0.500
0.000 0.000 0.500
0.000 0.500 0.000
0.000 0.500 0.500
0.500 0.500 0.000
0.086 0.422 0.258
0.086 0.828 0.664
0.086 0.836 0.250
0.329 0.579 0.750
0.336 0.172 0.758
0.336 0.578 0.164
0.377 0.127 0.250
0.623 0.873 0.750
0.664 0.422 0.836
0.664 0.828 0.242
0.671 0.421 0.250
0.914 0.164 0.750
0.914 0.172 0.336
0.914 0.578 0.742
```

Largest 6 diffraction maxima, in order of rising 2θ, 2θ = 15–90°:
| 2theta | Rel. int. |
| --- | --- |
| 29.77 | 100 |
| 29.99 | 99 |
| 34.64 | 64 |
| 49.81 | 62 |
| 58.96 | 28 |
| 59.32 | 42 |

=====

Entry 3:
For SrGd2Fe3O9, a cell relaxed with GGA+U gives the theoretical X-ray powder pattern in this record (a wavelength of 1.5418 Å).

Structural model:
```
SrGd2Fe3O9
1.0
5.515 0.000 0.000
-2.757 4.776 0.000
0.000 0.000 6.729
Sr Gd Fe O
1 2 3 9
direct
0.000 0.000 0.000
0.333 0.667 0.649
0.667 0.333 0.351
0.000 0.000 0.500
0.333 0.667 0.161
0.667 0.333 0.839
0.000 0.500 0.000
0.173 0.345 0.346
0.173 0.827 0.346
0.345 0.173 0.654
0.500 0.000 0.000
0.500 0.500 0.000
0.655 0.827 0.346
0.827 0.173 0.654
0.827 0.655 0.654
```

Largest 6 diffraction maxima, in order of rising 2θ, 2θ = 15–90°:
| 2theta | Rel. int. |
| --- | --- |
| 22.83 | 12 |
| 32.51 | 100 |
| 40.07 | 13 |
| 46.64 | 33 |
| 57.96 | 29 |
| 68.00 | 10 |

=====

Entry 4:
For Sr2GdFe3O9, a cell relaxed with GGA+U gives the theoretical X-ray powder pattern in this record (a wavelength of 1.5418 Å).

Structural model:
```
Sr2GdFe3O9
1.0
4.774 -2.782 0.000
4.774 2.782 0.000
-0.014 0.000 13.444
Sr Gd Fe O
4 2 6 18
direct
0.164 0.170 0.084
0.170 0.164 0.584
0.830 0.836 0.416
0.836 0.830 0.916
0.489 0.511 0.750
0.511 0.489 0.250
0.165 0.168 0.834
0.168 0.165 0.334
0.500 0.500 0.000
0.500 0.500 0.500
0.832 0.835 0.666
0.835 0.832 0.166
0.052 0.517 0.758
0.087 0.913 0.250
0.151 0.649 0.076
0.198 0.678 0.599
0.286 0.388 0.412
0.322 0.802 0.901
0.351 0.849 0.424
0.388 0.286 0.912
0.483 0.948 0.742
0.517 0.052 0.258
0.612 0.714 0.088
0.649 0.151 0.576
0.678 0.198 0.099
0.714 0.612 0.588
0.802 0.322 0.401
0.849 0.351 0.924
0.913 0.087 0.750
0.948 0.483 0.242
```

Largest 6 diffraction maxima, in order of rising 2θ, 2θ = 15–90°:
| 2theta | Rel. int. |
| --- | --- |
| 32.18 | 31 |
| 32.41 | 68 |
| 32.53 | 100 |
| 46.44 | 45 |
| 46.70 | 21 |
| 57.55 | 29 |

=====

Entry 5:
For Gd2VFeO6, a cell relaxed with GGA+U gives the theoretical X-ray powder pattern in this record (a wavelength of 1.5418 Å).

Structural model:
```
Gd2VFeO6
1.0
5.423 0.000 0.000
0.000 5.759 0.000
-5.230 0.000 7.619
Gd V Fe O
4 2 2 12
direct
0.225 0.070 0.248
0.225 0.430 0.748
0.775 0.570 0.252
0.775 0.930 0.752
0.500 0.000 0.000
0.500 0.500 0.500
0.000 0.000 0.500
0.000 0.500 0.000
0.148 0.184 0.946
0.148 0.316 0.446
0.260 0.704 0.942
0.260 0.796 0.442
0.373 0.034 0.762
0.373 0.466 0.262
0.627 0.534 0.738
0.627 0.966 0.238
0.740 0.204 0.558
0.740 0.296 0.058
0.852 0.684 0.554
0.852 0.816 0.054
```

Largest 6 diffraction maxima, in order of rising 2θ, 2θ = 15–90°:
| 2theta | Rel. int. |
| --- | --- |
| 22.52 | 29 |
| 31.06 | 25 |
| 32.36 | 69 |
| 33.00 | 100 |
| 45.98 | 23 |
| 47.77 | 42 |

=====

Entry 6:
For GdYFe2O6, a cell relaxed with GGA+U gives the theoretical X-ray powder pattern in this record (a wavelength of 1.5418 Å).

Structural model:
```
GdYFe2O6
1.0
7.758 0.000 0.000
0.000 5.380 0.000
0.000 0.000 5.658
Gd Y Fe O
2 2 4 12
direct
0.000 0.232 0.000
0.000 0.768 0.500
0.500 0.267 0.130
0.500 0.733 0.630
0.252 0.250 0.564
0.252 0.750 0.064
0.748 0.250 0.564
0.748 0.750 0.064
0.000 0.358 0.602
0.000 0.642 0.102
0.195 0.056 0.260
0.195 0.944 0.760
0.310 0.444 0.867
0.310 0.556 0.367
0.500 0.135 0.520
0.500 0.865 0.020
0.690 0.444 0.867
0.690 0.556 0.367
0.805 0.056 0.260
0.805 0.944 0.760
```

Largest 6 diffraction maxima, in order of rising 2θ, 2θ = 15–90°:
| 2theta | Rel. int. |
| --- | --- |
| 25.57 | 24 |
| 31.63 | 20 |
| 32.56 | 100 |
| 33.31 | 23 |
| 46.59 | 20 |
| 59.05 | 23 |

=====

Entry 7:
For HoFeGe2O7, a cell relaxed with GGA+U gives the theoretical X-ray powder pattern in this record (a wavelength of 1.5418 Å).

Structural model:
```
HoFeGe2O7
1.0
5.416 -4.322 0.000
5.416 4.322 0.000
-3.067 0.000 5.990
Ho Fe Ge O
2 2 4 14
direct
0.207 0.793 0.000
0.793 0.207 0.000
0.305 0.695 0.500
0.695 0.305 0.500
0.218 0.218 0.514
0.302 0.302 0.073
0.698 0.698 0.927
0.782 0.782 0.486
0.055 0.724 0.600
0.130 0.130 0.033
0.212 0.568 0.170
0.276 0.945 0.400
0.315 0.315 0.812
0.367 0.367 0.462
0.432 0.788 0.830
0.568 0.212 0.170
0.633 0.633 0.538
0.685 0.685 0.188
0.724 0.055 0.600
0.788 0.432 0.830
0.870 0.870 0.967
0.945 0.276 0.400
```

Largest 6 diffraction maxima, in order of rising 2θ, 2θ = 15–90°:
| 2theta | Rel. int. |
| --- | --- |
| 26.85 | 27 |
| 27.72 | 100 |
| 29.83 | 45 |
| 34.13 | 34 |
| 35.61 | 17 |
| 47.33 | 18 |

=====

- What is the formula in the fifth record?
  Gd2VFeO6